Starting from a DFT-relaxed cell (GGA+U, the Materials Project), the powder X-ray diffraction pattern of Li4NiP2O8 was simulated for Cu Kα X-rays.
Lines closer than 0.1° are merged.

Most intense lines, 2θ from 10° to 90°, in order of rising 2θ:
d = 6.291 Å, rel. 62.1
d = 5.569 Å, rel. 30.8
d = 4.317 Å, rel. 37.8
d = 4.061 Å, rel. 95.7
d = 3.975 Å, rel. 100.0
d = 3.711 Å, rel. 51.3
d = 3.147 Å, rel. 27.5
d = 2.784 Å, rel. 53.7
d = 2.570 Å, rel. 55.4
d = 2.486 Å, rel. 64.2

Cell and atoms:
Cell lengths 8.290, 10.282, 8.275 Å; angles 90.00, 106.22, 90.00 degrees
Element x y z (fractional)
Li 0.021 0.074 0.271
Li 0.021 0.426 0.771
Li 0.101 0.164 0.599
Li 0.101 0.336 0.099
Li 0.153 0.663 0.659
Li 0.153 0.837 0.159
Li 0.351 0.153 0.352
Li 0.351 0.347 0.852
Li 0.649 0.653 0.148
Li 0.649 0.847 0.648
Li 0.847 0.163 0.841
Li 0.847 0.337 0.341
Li 0.899 0.664 0.901
Li 0.899 0.836 0.401
Li 0.979 0.574 0.229
Li 0.979 0.926 0.729
Ni 0.403 0.650 0.407
Ni 0.403 0.850 0.907
Ni 0.597 0.150 0.093
Ni 0.597 0.350 0.593
P 0.209 0.091 0.976
P 0.209 0.409 0.476
P 0.270 0.594 0.037
P 0.270 0.906 0.537
P 0.730 0.094 0.463
P 0.730 0.406 0.963
P 0.791 0.591 0.524
P 0.791 0.909 0.024
O 0.062 0.103 0.813
O 0.062 0.397 0.313
O 0.121 0.653 0.092
O 0.121 0.847 0.592
O 0.161 0.151 0.129
O 0.161 0.349 0.629
O 0.227 0.049 0.479
O 0.227 0.451 0.979
O 0.247 0.557 0.509
O 0.247 0.943 0.009
O 0.303 0.673 0.889
O 0.303 0.827 0.389
O 0.363 0.164 0.948
O 0.363 0.336 0.448
O 0.433 0.604 0.187
O 0.433 0.896 0.687
O 0.567 0.104 0.313
O 0.567 0.396 0.813
O 0.637 0.664 0.552
O 0.637 0.836 0.052
O 0.697 0.173 0.611
O 0.697 0.327 0.111
O 0.753 0.057 0.991
O 0.753 0.443 0.491
O 0.773 0.549 0.021
O 0.773 0.951 0.521
O 0.839 0.651 0.371
O 0.839 0.849 0.871
O 0.879 0.153 0.408
O 0.879 0.347 0.908
O 0.938 0.603 0.687
O 0.938 0.897 0.187

Starting from a DFT-relaxed cell (GGA+U, the Materials Project), the powder X-ray diffraction pattern of Li2NiP2O7 was simulated for Cu Kα X-rays.
Lines closer than 0.1° are merged.

Most intense lines, 2θ from 10° to 90°, in order of rising 2θ:
d = 7.877 Å, rel. 32.4
d = 5.786 Å, rel. 24.6
d = 3.772 Å, rel. 100.0
d = 3.512 Å, rel. 13.4
d = 3.259 Å, rel. 15.8
d = 2.985 Å, rel. 43.7
d = 2.938 Å, rel. 24.0
d = 2.590 Å, rel. 35.0
d = 2.573 Å, rel. 13.0
d = 1.638 Å, rel. 9.6

Cell and atoms:
Cell lengths 5.218, 6.548, 8.702 Å; angles 111.11, 97.34, 104.53 degrees
Element x y z (fractional)
Li 0.179 0.293 0.276
Li 0.312 0.788 0.966
Li 0.688 0.212 0.034
Li 0.821 0.707 0.724
Ni 0.406 0.902 0.631
Ni 0.594 0.098 0.369
P 0.096 0.184 0.885
P 0.265 0.356 0.625
P 0.735 0.644 0.375
P 0.904 0.816 0.115
O 0.007 0.264 0.486
O 0.101 0.325 0.066
O 0.193 0.971 0.215
O 0.199 0.372 0.806
O 0.304 0.046 0.867
O 0.423 0.609 0.671
O 0.450 0.200 0.588
O 0.550 0.800 0.412
O 0.577 0.391 0.329
O 0.696 0.954 0.133
O 0.801 0.628 0.194
O 0.807 0.029 0.785
O 0.899 0.675 0.934
O 0.993 0.736 0.514

Starting from a DFT-relaxed cell (GGA+U, the Materials Project), the powder X-ray diffraction pattern of LiNi5P3O13 was simulated for Cu Kα X-rays.
Lines closer than 0.1° are merged.

Most intense lines, 2θ from 10° to 90°, in order of rising 2θ:
d = 8.357 Å, rel. 100.0
d = 3.126 Å, rel. 33.6
d = 2.999 Å, rel. 25.2
d = 2.891 Å, rel. 30.1
d = 2.786 Å, rel. 37.0
d = 2.763 Å, rel. 36.5
d = 2.707 Å, rel. 31.9
d = 2.606 Å, rel. 24.6
d = 2.091 Å, rel. 38.5
d = 1.980 Å, rel. 30.4

Cell and atoms:
Cell lengths 6.027, 8.414, 9.765 Å; angles 96.63, 95.76, 90.10 degrees
Element x y z (fractional)
Li 0.222 0.421 0.452
Li 0.778 0.579 0.548
Ni 0.018 0.117 0.779
Ni 0.228 0.587 0.106
Ni 0.268 0.850 0.926
Ni 0.285 0.794 0.617
Ni 0.476 0.882 0.233
Ni 0.524 0.118 0.767
Ni 0.715 0.206 0.383
Ni 0.732 0.150 0.074
Ni 0.772 0.413 0.894
Ni 0.982 0.883 0.221
P 0.241 0.114 0.480
P 0.250 0.183 0.108
P 0.261 0.471 0.770
P 0.739 0.529 0.230
P 0.750 0.817 0.892
P 0.759 0.886 0.520
O 0.034 0.220 0.460
O 0.040 0.114 0.162
O 0.047 0.365 0.766
O 0.214 0.816 0.108
O 0.239 0.362 0.130
O 0.243 0.960 0.377
O 0.253 0.556 0.636
O 0.255 0.051 0.630
O 0.274 0.600 0.899
O 0.276 0.112 0.953
O 0.438 0.230 0.475
O 0.469 0.362 0.781
O 0.472 0.125 0.193
O 0.528 0.875 0.807
O 0.531 0.638 0.219
O 0.562 0.770 0.525
O 0.724 0.888 0.047
O 0.726 0.400 0.101
O 0.745 0.949 0.370
O 0.747 0.444 0.364
O 0.757 0.040 0.623
O 0.761 0.638 0.870
O 0.786 0.184 0.892
O 0.953 0.635 0.234
O 0.960 0.886 0.838
O 0.966 0.780 0.540